No. 1
PdPt4Rh4: computed powder X-ray diffraction pattern (Cu Ka), based on the GGA-PBE geometry in Alexandria.
No peak broadening, texture or thermal motion is included.

Structure:
```
PdPt4Rh4
1.0
-4.1585 4.1585 1.9453
4.1585 -4.1585 1.9453
4.1585 4.1585 -1.9453
Pd Pt Rh
1 4 4
Direct
0.0000 0.0000 0.0000
0.0000 0.3303 0.3303
0.0000 0.6697 0.6697
0.3303 0.0000 0.3303
0.6697 0.0000 0.6697
0.3330 0.3330 0.6660
0.3330 0.6670 0.0000
0.6670 0.3330 0.0000
0.6670 0.6670 0.3340
```

Principal peaks in the range 10° ≤ 2θ ≤ 90°, low angle first:
- 15.06°, I 7
- 33.33°, I 6
- 39.93°, I 100
- 46.31°, I 33
- 46.69°, I 16
- 67.58°, I 11
- 67.88°, I 21
- 81.48°, I 25
- 82.03°, I 12
- 86.14°, I 11

No. 2
PdPt6Rh: computed powder X-ray diffraction pattern (Cu Ka), based on the GGA-PBE geometry in Alexandria.
No peak broadening, texture or thermal motion is included.

Structure:
```
PdPt6Rh
1.0
3.9544 0.0000 0.0000
0.0000 3.9544 0.0000
0.0000 0.0000 7.9015
Pd Pt Rh
1 6 1
Direct
0.0000 0.0000 0.0000
0.0000 0.5000 0.2526
0.0000 0.5000 0.7474
0.5000 0.0000 0.2526
0.5000 0.0000 0.7474
0.5000 0.5000 0.0000
0.5000 0.5000 0.5000
0.0000 0.0000 0.5000
```

Principal peaks in the range 10° ≤ 2θ ≤ 90°, low angle first:
- 22.49°, I 5
- 32.02°, I 4
- 39.48°, I 100
- 45.91°, I 49
- 51.71°, I 2
- 57.07°, I 2
- 66.95°, I 32
- 71.61°, I 1
- 80.60°, I 39
- 84.99°, I 11

No. 3
Pd2Pt4Rh: computed powder X-ray diffraction pattern (Cu Ka), based on the GGA-PBE geometry in Alexandria.
No peak broadening, texture or thermal motion is included.

Structure:
```
Pd2Pt4Rh
1.0
1.3715 -11.0031 0.0000
1.3715 11.0031 0.0000
0.0000 0.0000 3.8006
Pd Pt Rh
2 4 1
Direct
0.1972 0.8028 0.0000
0.8028 0.1972 0.0000
0.0649 0.9351 0.0000
0.3679 0.6321 0.5000
0.6321 0.3679 0.5000
0.9351 0.0649 0.0000
0.5000 0.5000 0.5000
```

Principal peaks in the range 10° ≤ 2θ ≤ 90°, low angle first:
- 16.11°, I 23
- 28.55°, I 19
- 33.97°, I 23
- 40.48°, I 89
- 40.77°, I 100
- 43.80°, I 63
- 47.87°, I 30
- 66.88°, I 36
- 78.02°, I 28
- 82.60°, I 23

No. 4
Pd2Pt7Rh2: computed powder X-ray diffraction pattern (Cu Ka), based on the GGA-PBE geometry in Alexandria.
No peak broadening, texture or thermal motion is included.

Structure:
```
Pd2Pt7Rh2
1.0
2.6913 -4.5470 0.0000
2.6913 4.5470 0.0000
0.0000 0.0000 7.5396
Pd Pt Rh
2 7 2
Direct
0.2342 0.7658 0.0000
0.7658 0.2342 0.0000
0.0000 0.0000 0.7905
0.0000 0.5000 0.3096
0.0000 0.5000 0.6746
0.5000 0.0000 0.3096
0.5000 0.0000 0.6746
0.5000 0.5000 0.1772
0.5000 0.5000 0.8182
0.2523 0.2523 0.4841
0.7477 0.7477 0.4841
```

Principal peaks in the range 10° ≤ 2θ ≤ 90°, low angle first:
- 35.41°, I 51
- 38.89°, I 35
- 39.64°, I 60
- 41.03°, I 100
- 45.99°, I 92
- 54.20°, I 29
- 72.88°, I 18
- 76.42°, I 21
- 84.38°, I 26
- 85.23°, I 23